This entry pairs a crystal structure of MnGaSiS with its theoretical powder diffraction line list. Radiation: a wavelength of 1.5418 Å. Structure: a cell relaxed with PBE.

Principal peaks in the range 10° ≤ 2θ ≤ 80°, sorted by position:
| d/Å | I/Imax |
| --- | --- |
| 3.240 | 83.9 |
| 2.823 | 100.0 |
| 2.758 | 89.6 |
| 2.193 | 83.1 |
| 1.859 | 70.5 |
| 1.854 | 88.7 |

Cell and atoms:
```
MnGaSiS
1.0
12.4920 0.0000 0.0000
0.0000 2.8297 0.0000
-0.5619 0.0000 3.4488
Mn Ga Si S
2 2 2 2
Direct
0.0000 0.0000 0.0000
0.5000 0.5000 0.0000
0.2223 0.0000 0.3115
0.7223 0.5000 0.3115
0.0706 0.5000 0.5458
0.5706 0.0000 0.5458
0.3632 0.0000 0.9047
0.8632 0.5000 0.9047
```



This entry pairs a crystal structure of MnGaSiS with its theoretical powder diffraction line list. Radiation: a wavelength of 1.5418 Å. Structure: a cell relaxed with PBE.

Principal peaks in the range 10° ≤ 2θ ≤ 80°, sorted by position:
| d/Å | I/Imax |
| --- | --- |
| 3.707 | 91.0 |
| 2.589 | 55.7 |
| 2.058 | 100.0 |
| 2.035 | 44.1 |
| 1.950 | 44.1 |
| 1.767 | 77.2 |

Cell and atoms:
```
MnGaSiS
1.0
4.7125 0.0000 0.0000
0.0000 11.9272 0.0000
-1.4888 0.0000 2.1951
Mn Ga Si S
2 2 2 2
Direct
0.0000 0.0000 0.0000
0.5000 0.5000 0.0000
0.0000 0.1796 0.5000
0.5000 0.6796 0.5000
0.0000 0.4993 0.0000
0.5000 0.9993 0.0000
0.0000 0.8028 0.0000
0.5000 0.3028 0.0000
```



This entry pairs a crystal structure of ScMn3Ga3 with its theoretical powder diffraction line list. Radiation: a wavelength of 1.5418 Å. Structure: a cell relaxed with PBE.

Principal peaks in the range 10° ≤ 2θ ≤ 80°, sorted by position:
| d/Å | I/Imax |
| --- | --- |
| 5.641 | 100.0 |
| 3.989 | 26.4 |
| 3.257 | 32.6 |
| 2.821 | 25.1 |
| 1.880 | 72.0 |
| 1.784 | 30.5 |

Cell and atoms:
```
ScMn3Ga3
1.0
0.0000 5.6414 5.6414
5.6414 0.0000 5.6414
5.6414 5.6414 0.0000
Sc Mn Ga
2 6 6
Direct
0.2500 0.2500 0.2500
0.7500 0.7500 0.7500
0.1368 0.1368 0.8632
0.1368 0.8632 0.1368
0.1368 0.8632 0.8632
0.8632 0.1368 0.1368
0.8632 0.1368 0.8632
0.8632 0.8632 0.1368
0.3387 0.3387 0.6613
0.3387 0.6613 0.3387
0.3387 0.6613 0.6613
0.6613 0.3387 0.3387
0.6613 0.3387 0.6613
0.6613 0.6613 0.3387
```